Record 1
Theoretical powder diffractogram
Compound: PmDyScZn
Radiation: Cu Kα, 1.54184 Å
Structure: the GGA-PBE geometry in Alexandria

Top 10 peaks for 10° ≤ 2θ ≤ 80°, low angle first:
| 2theta | I (rel.) |
| --- | --- |
| 10.39 | 18 |
| 27.63 | 40 |
| 31.51 | 15 |
| 33.20 | 100 |
| 36.42 | 47 |
| 48.91 | 18 |
| 52.46 | 16 |
| 57.14 | 12 |
| 60.48 | 11 |
| 63.51 | 30 |

Crystal structure
abc: 3.489 3.489 8.517
angles: 90.00 90.00 90.00
Fractional positions:
Pm  0.000  0.000  0.000
Dy  0.500  0.500  0.688
Sc  0.500  0.500  0.287
Zn  0.000  0.000  0.463

***

Record 2
Theoretical powder diffractogram
Compound: Na5SnAu
Radiation: Cu Kα, 1.54184 Å
Structure: the GGA-PBE geometry in Alexandria

Top 10 peaks for 10° ≤ 2θ ≤ 80°, low angle first:
| 2theta | I (rel.) |
| --- | --- |
| 20.85 | 100 |
| 23.53 | 13 |
| 24.41 | 24 |
| 34.16 | 66 |
| 34.80 | 32 |
| 39.81 | 20 |
| 40.91 | 37 |
| 53.89 | 17 |
| 54.74 | 15 |
| 61.98 | 23 |

Crystal structure
abc: 5.156 5.156 15.122
angles: 90.00 90.00 89.87
Fractional positions:
Na  0.001  0.499  0.612
Na  0.001  0.499  0.888
Na  0.001  0.999  0.750
Na  0.499  0.001  0.112
Na  0.499  0.001  0.388
Na  0.501  0.999  0.612
Na  0.501  0.999  0.888
Na  0.999  0.001  0.250
Na  0.999  0.501  0.112
Na  0.999  0.501  0.388
Sn  0.499  0.501  0.250
Sn  0.501  0.499  0.750
Au  0.000  0.000  0.000
Au  0.000  0.000  0.500